The following is a computed X-ray powder pattern of Sr3Cu. It was derived from the GGA-PBE geometry in the Materials Project, using Cu Kα, 1.54184 Å.
No peak broadening, texture or thermal motion is included.

Crystal structure
```
Sr3Cu
1.0
5.4410 0.0000 0.0000
0.0000 5.4410 0.0000
0.0000 0.0000 5.4410
Sr Cu
3 1
direct
0.0000 0.0000 0.5000
0.0000 0.5000 0.0000
0.5000 0.0000 0.0000
0.5000 0.5000 0.5000
```

Main lines, most intense first (2θ from 5° to 70°):
- 2θ 28.41, d = 3.141 Å, rel. 100
- 2θ 32.92, d = 2.720 Å, rel. 51
- 2θ 56.06, d = 1.641 Å, rel. 43
- 2θ 47.25, d = 1.924 Å, rel. 36
- 2θ 58.79, d = 1.571 Å, rel. 12
- 2θ 69.05, d = 1.360 Å, rel. 6


The following is a computed X-ray powder pattern of TaVCu. It was derived from the GGA-PBE geometry in the Materials Project, using Cu Kα, 1.54184 Å.
No peak broadening, texture or thermal motion is included.

Crystal structure
```
TaVCu
1.0
-2.3956 2.5262 3.6033
2.3956 -2.5262 3.6033
2.3956 2.5262 -3.6033
Ta V Cu
2 2 2
direct
0.3705 0.1205 0.2500
0.6295 0.8795 0.7500
0.0000 0.0000 0.5000
0.0000 0.5000 0.0000
0.0000 0.5000 0.5000
0.5000 0.5000 0.0000
```

Main lines, most intense first (2θ from 5° to 70°):
- 2θ 35.89, d = 2.502 Å, rel. 100
- 2θ 42.35, d = 2.134 Å, rel. 79
- 2θ 43.66, d = 2.073 Å, rel. 54
- 2θ 41.63, d = 2.169 Å, rel. 36
- 2θ 42.08, d = 2.147 Å, rel. 34
- 2θ 21.48, d = 4.137 Å, rel. 28


The following is a computed X-ray powder pattern of TbCu. It was derived from the GGA-PBE geometry in the Materials Project, using Cu Kα, 1.54184 Å.
No peak broadening, texture or thermal motion is included.

Crystal structure
```
TbCu
1.0
3.4812 0.0000 0.0000
0.0000 3.4812 0.0000
0.0000 0.0000 3.4812
Tb Cu
1 1
direct
0.0000 0.0000 0.0000
0.5000 0.5000 0.5000
```

Main lines, most intense first (2θ from 5° to 70°):
- 2θ 36.50, d = 2.462 Å, rel. 100
- 2θ 65.70, d = 1.421 Å, rel. 35
- 2θ 25.59, d = 3.481 Å, rel. 19
- 2θ 52.58, d = 1.741 Å, rel. 17
- 2θ 59.36, d = 1.557 Å, rel. 8
- 2θ 45.11, d = 2.010 Å, rel. 6


The following is a computed X-ray powder pattern of TbCu5. It was derived from the GGA-PBE geometry in the Materials Project, using Cu Kα, 1.54184 Å.
No peak broadening, texture or thermal motion is included.

Crystal structure
```
TbCu5
1.0
0.0000 3.5233 3.5233
3.5233 0.0000 3.5233
3.5233 3.5233 0.0000
Tb Cu
1 5
direct
0.0000 0.0000 0.0000
0.3763 0.3763 0.3763
0.3763 0.3763 0.8712
0.3763 0.8712 0.3763
0.7500 0.7500 0.7500
0.8712 0.3763 0.3763
```

Main lines, most intense first (2θ from 5° to 70°):
- 2θ 42.55, d = 2.125 Å, rel. 100
- 2θ 36.05, d = 2.491 Å, rel. 44
- 2θ 69.29, d = 1.356 Å, rel. 30
- 2θ 44.54, d = 2.034 Å, rel. 26
- 2θ 64.82, d = 1.438 Å, rel. 15
- 2θ 25.28, d = 3.523 Å, rel. 9


The following is a computed X-ray powder pattern of Tb6Cu23. It was derived from the GGA-PBE geometry in the Materials Project, using Cu Kα, 1.54184 Å.
No peak broadening, texture or thermal motion is included.

Crystal structure
```
Tb6Cu23
1.0
0.0000 6.0724 6.0724
6.0724 0.0000 6.0724
6.0724 6.0724 0.0000
Tb Cu
6 23
direct
0.2130 0.2130 0.7870
0.2130 0.7870 0.2130
0.2130 0.7870 0.7870
0.7870 0.2130 0.2130
0.7870 0.2130 0.7870
0.7870 0.7870 0.2130
0.0000 0.0000 0.5000
0.0000 0.5000 0.0000
0.0000 0.5000 0.5000
0.1353 0.6216 0.6216
0.1736 0.1736 0.1736
0.1736 0.1736 0.4793
0.1736 0.4793 0.1736
0.3784 0.3784 0.3784
0.3784 0.3784 0.8647
0.3784 0.8647 0.3784
0.4793 0.1736 0.1736
0.5000 0.0000 0.0000
0.5000 0.0000 0.5000
0.5000 0.5000 0.0000
0.5000 0.5000 0.5000
0.5207 0.8264 0.8264
0.6216 0.1353 0.6216
0.6216 0.6216 0.1353
0.6216 0.6216 0.6216
0.8264 0.5207 0.8264
0.8264 0.8264 0.5207
0.8264 0.8264 0.8264
0.8647 0.3784 0.3784
```

Main lines, most intense first (2θ from 5° to 70°):
- 2θ 42.09, d = 2.147 Å, rel. 100
- 2θ 38.52, d = 2.337 Å, rel. 66
- 2θ 36.24, d = 2.479 Å, rel. 25
- 2θ 25.41, d = 3.506 Å, rel. 17
- 2θ 65.18, d = 1.431 Å, rel. 16
- 2θ 32.13, d = 2.786 Å, rel. 14


The following is a computed X-ray powder pattern of TbCu5. It was derived from the GGA-PBE geometry in the Materials Project, using Cu Kα, 1.54184 Å.
No peak broadening, texture or thermal motion is included.

Crystal structure
```
TbCu5
1.0
5.0008 0.0000 0.0000
-2.5004 4.3309 0.0000
0.0000 0.0000 4.1331
Tb Cu
1 5
direct
0.0000 0.0000 0.0000
0.0000 0.5000 0.5000
0.3333 0.6667 0.0000
0.5000 0.0000 0.5000
0.5000 0.5000 0.5000
0.6667 0.3333 0.0000
```

Main lines, most intense first (2θ from 5° to 70°):
- 2θ 42.24, d = 2.139 Å, rel. 100
- 2θ 29.88, d = 2.990 Å, rel. 48
- 2θ 41.71, d = 2.165 Å, rel. 34
- 2θ 35.92, d = 2.500 Å, rel. 30
- 2θ 43.81, d = 2.067 Å, rel. 28
- 2θ 68.90, d = 1.363 Å, rel. 22


The following is a computed X-ray powder pattern of Tb8Cu3Te16. It was derived from the GGA-PBE geometry in the Materials Project, using Cu Kα, 1.54184 Å.
No peak broadening, texture or thermal motion is included.

Crystal structure
```
Tb8Cu3Te16
1.0
8.1327 0.0000 0.0000
-0.0250 9.8635 0.0000
-0.0317 -1.8873 9.6838
Tb Cu Te
8 3 16
direct
0.0000 0.0000 0.0000
0.0022 0.4982 0.5016
0.1124 0.0132 0.4858
0.1164 0.5154 0.9917
0.4949 0.7624 0.2322
0.4989 0.2653 0.7378
0.6110 0.7522 0.7537
0.6141 0.2471 0.2453
0.3583 0.4969 0.3292
0.7509 0.8483 0.4860
0.8597 0.2665 0.9072
0.1417 0.6840 0.3113
0.1513 0.1775 0.8085
0.3046 0.5430 0.7131
0.3049 0.7949 0.9569
0.3063 0.2932 0.4589
0.3067 0.0409 0.2076
0.4586 0.9414 0.5725
0.4651 0.4399 0.0685
0.6424 0.0782 0.9270
0.6502 0.5852 0.4311
0.8042 0.4716 0.7799
0.8049 0.2238 0.5267
0.8065 0.7209 0.0299
0.8081 0.9705 0.2788
0.9642 0.3220 0.1696
0.9680 0.8217 0.6709
```

Main lines, most intense first (2θ from 5° to 70°):
- 2θ 39.89, d = 2.260 Å, rel. 100
- 2θ 35.14, d = 2.554 Å, rel. 96
- 2θ 32.79, d = 2.731 Å, rel. 76
- 2θ 37.13, d = 2.421 Å, rel. 70
- 2θ 29.57, d = 3.021 Å, rel. 69
- 2θ 32.21, d = 2.779 Å, rel. 59


The following is a computed X-ray powder pattern of Tm2CuTc. It was derived from the GGA-PBE geometry in the Materials Project, using Cu Kα, 1.54184 Å.
No peak broadening, texture or thermal motion is included.

Crystal structure
```
Tm2CuTc
1.0
0.0000 3.3736 3.3736
3.3736 0.0000 3.3736
3.3736 3.3736 0.0000
Tm Cu Tc
2 1 1
direct
0.2500 0.2500 0.2500
0.7500 0.7500 0.7500
0.0000 0.0000 0.0000
0.5000 0.5000 0.5000
```

Main lines, most intense first (2θ from 5° to 70°):
- 2θ 37.71, d = 2.385 Å, rel. 100
- 2θ 68.08, d = 1.377 Å, rel. 35
- 2θ 54.39, d = 1.687 Å, rel. 17
- 2θ 26.42, d = 3.374 Å, rel. 13
- 2θ 61.46, d = 1.509 Å, rel. 6
- 2θ 46.63, d = 1.948 Å, rel. 4